Record 1
The following is a simulated powder diffraction line list of ZrTlGeS3. It was derived from DFT lattice parameters and positions (PBE), using Cu Kα (weighted mean of Kα1 and Kα2).

Most intense lines, 10° ≤ 2θ ≤ 90°, in order of rising 2θ:
d = 5.391 Å, 2θ = 16.4°, I = 24
d = 4.393 Å, 2θ = 20.2°, I = 69
d = 3.575 Å, 2θ = 24.9°, I = 37
d = 3.333 Å, 2θ = 26.8°, I = 27
d = 2.934 Å, 2θ = 30.5°, I = 100
d = 2.830 Å, 2θ = 31.6°, I = 26
d = 2.695 Å, 2θ = 33.2°, I = 47
d = 2.459 Å, 2θ = 36.5°, I = 21
d = 2.130 Å, 2θ = 42.4°, I = 28
d = 1.985 Å, 2θ = 45.7°, I = 52

Atomic structure:
Unit cell a=7.7892 b=7.7892 c=10.7810 alpha=90.00 beta=90.00 gamma=153.26
Fractional coordinates of all 12 atoms:
Zr  0.0000  0.0000  0.0000
Zr  0.0000  0.0000  0.5000
Tl  0.3033  0.6967  0.7500
Tl  0.6967  0.3033  0.2500
Ge  0.3775  0.6225  0.2500
Ge  0.6225  0.3775  0.7500
S  0.0044  0.9956  0.7500
S  0.3802  0.6198  0.0085
S  0.3802  0.6198  0.4915
S  0.6198  0.3802  0.5085
S  0.6198  0.3802  0.9915
S  0.9956  0.0044  0.2500

---

Record 2
The following is a simulated powder diffraction line list of Y2Fe7. It was derived from DFT lattice parameters and positions (PBE), using Cu Kα (weighted mean of Kα1 and Kα2).

Most intense lines, 10° ≤ 2θ ≤ 90°, in order of rising 2θ:
d = 2.764 Å, 2θ = 32.4°, I = 24
d = 2.606 Å, 2θ = 34.4°, I = 18
d = 2.500 Å, 2θ = 35.9°, I = 34
d = 2.161 Å, 2θ = 41.8°, I = 30
d = 2.150 Å, 2θ = 42.0°, I = 9
d = 2.118 Å, 2θ = 42.7°, I = 100
d = 1.994 Å, 2θ = 45.5°, I = 27
d = 1.950 Å, 2θ = 46.6°, I = 16
d = 1.357 Å, 2θ = 69.2°, I = 22
d = 1.250 Å, 2θ = 76.1°, I = 20

Atomic structure:
Unit cell a=12.3090 b=12.3090 c=12.3090 alpha=23.44 beta=23.44 gamma=23.44
Fractional coordinates of all 18 atoms:
Y  0.0524  0.0524  0.0524
Y  0.1496  0.1496  0.1496
Y  0.8504  0.8504  0.8504
Y  0.9476  0.9476  0.9476
Fe  0.0000  0.5000  0.5000
Fe  0.1090  0.6089  0.6089
Fe  0.2790  0.2790  0.2790
Fe  0.3871  0.3871  0.3871
Fe  0.3911  0.3911  0.8910
Fe  0.3911  0.8910  0.3911
Fe  0.5000  0.0000  0.5000
Fe  0.5000  0.5000  0.0000
Fe  0.5000  0.5000  0.5000
Fe  0.6089  0.1090  0.6089
Fe  0.6089  0.6089  0.1090
Fe  0.6129  0.6129  0.6129
Fe  0.7210  0.7210  0.7210
Fe  0.8910  0.3911  0.3911

---

Record 3
The following is a simulated powder diffraction line list of Y2Zn3Mo4C3. It was derived from DFT lattice parameters and positions (PBE), using Cu Kα (weighted mean of Kα1 and Kα2).

Most intense lines, 10° ≤ 2θ ≤ 90°, in order of rising 2θ:
d = 2.754 Å, 2θ = 32.5°, I = 38
d = 2.705 Å, 2θ = 33.1°, I = 34
d = 2.618 Å, 2θ = 34.3°, I = 21
d = 2.374 Å, 2θ = 37.9°, I = 100
d = 2.358 Å, 2θ = 38.2°, I = 89
d = 2.338 Å, 2θ = 38.5°, I = 78
d = 2.285 Å, 2θ = 39.4°, I = 24
d = 2.276 Å, 2θ = 39.6°, I = 64
d = 2.161 Å, 2θ = 41.8°, I = 21
d = 1.591 Å, 2θ = 58.0°, I = 26

Atomic structure:
Unit cell a=5.5071 b=5.5071 c=14.0849 alpha=102.24 beta=102.24 gamma=60.06
Fractional coordinates of all 24 atoms:
Y  0.0424  0.8816  0.6181
Y  0.1184  0.9576  0.8819
Y  0.8816  0.0424  0.1181
Y  0.9576  0.1184  0.3819
Zn  0.0892  0.4079  0.7527
Zn  0.4079  0.0892  0.2527
Zn  0.4237  0.5763  0.2500
Zn  0.5763  0.4237  0.7500
Zn  0.5921  0.9108  0.7473
Zn  0.9108  0.5921  0.2473
Mo  0.1945  0.3477  0.0774
Mo  0.2917  0.4858  0.4225
Mo  0.3477  0.1945  0.5774
Mo  0.4858  0.2917  0.9225
Mo  0.5142  0.7083  0.0775
Mo  0.6523  0.8055  0.4226
Mo  0.7083  0.5142  0.5775
Mo  0.8055  0.6523  0.9226
C  0.0000  0.5000  0.5000
C  0.1736  0.6529  0.0000
C  0.3471  0.8264  0.5000
C  0.5000  0.0000  0.0000
C  0.6529  0.1736  0.5000
C  0.8264  0.3471  0.0000

---

Record 4
The following is a simulated powder diffraction line list of HfNbCu2Ge4. It was derived from DFT lattice parameters and positions (PBE), using Cu Kα (weighted mean of Kα1 and Kα2).

Most intense lines, 10° ≤ 2θ ≤ 90°, in order of rising 2θ:
d = 3.462 Å, 2θ = 25.7°, I = 13
d = 2.892 Å, 2θ = 30.9°, I = 16
d = 2.359 Å, 2θ = 38.1°, I = 12
d = 2.288 Å, 2θ = 39.4°, I = 100
d = 2.279 Å, 2θ = 39.5°, I = 15
d = 1.947 Å, 2θ = 46.7°, I = 11
d = 1.871 Å, 2θ = 48.7°, I = 32
d = 1.446 Å, 2θ = 64.4°, I = 14
d = 1.323 Å, 2θ = 71.3°, I = 10
d = 1.145 Å, 2θ = 84.6°, I = 21

Atomic structure:
Unit cell a=3.7421 b=3.7421 c=9.1173 alpha=90.00 beta=90.00 gamma=90.00
Fractional coordinates of all 8 atoms:
Hf  0.0000  0.0000  0.0000
Nb  0.5000  0.5000  0.5369
Cu  0.0000  0.5000  0.2667
Cu  0.5000  0.0000  0.2667
Ge  0.0000  0.0000  0.4493
Ge  0.0000  0.5000  0.7626
Ge  0.5000  0.0000  0.7626
Ge  0.5000  0.5000  0.0842

---

Record 5
The following is a simulated powder diffraction line list of Pr2Y2CI2Br3. It was derived from DFT lattice parameters and positions (PBE), using Cu Kα (weighted mean of Kα1 and Kα2).

Most intense lines, 10° ≤ 2θ ≤ 90°, in order of rising 2θ:
d = 8.319 Å, 2θ = 10.6°, I = 34
d = 3.894 Å, 2θ = 22.8°, I = 17
d = 3.098 Å, 2θ = 28.8°, I = 46
d = 2.906 Å, 2θ = 30.8°, I = 100
d = 2.773 Å, 2θ = 32.3°, I = 20
d = 2.718 Å, 2θ = 33.0°, I = 27
d = 2.133 Å, 2θ = 42.4°, I = 28
d = 2.106 Å, 2θ = 42.9°, I = 27
d = 1.991 Å, 2θ = 45.6°, I = 18
d = 1.675 Å, 2θ = 54.8°, I = 16

Atomic structure:
Unit cell a=9.7038 b=9.7038 c=8.5003 alpha=101.60 beta=101.60 gamma=23.68
Fractional coordinates of all 10 atoms:
Pr  0.0008  0.0008  0.2934
Pr  0.9992  0.9992  0.7066
Y  0.3695  0.3695  0.4343
Y  0.6305  0.6305  0.5657
C  0.5000  0.5000  0.5000
I  0.1741  0.1741  0.3229
I  0.8259  0.8259  0.6771
Br  0.1613  0.1613  0.8156
Br  0.5000  0.5000  0.0000
Br  0.8387  0.8387  0.1844

---

Record 6
The following is a simulated powder diffraction line list of Ba2IrBrO3. It was derived from DFT lattice parameters and positions (PBE), using Cu Kα (weighted mean of Kα1 and Kα2).

Most intense lines, 10° ≤ 2θ ≤ 90°, in order of rising 2θ:
d = 7.718 Å, 2θ = 11.5°, I = 30
d = 3.234 Å, 2θ = 27.6°, I = 22
d = 2.940 Å, 2θ = 30.4°, I = 81
d = 2.829 Å, 2θ = 31.6°, I = 100
d = 2.479 Å, 2θ = 36.2°, I = 16
d = 2.079 Å, 2θ = 43.5°, I = 38
d = 1.675 Å, 2θ = 54.8°, I = 43
d = 1.470 Å, 2θ = 63.3°, I = 12
d = 1.315 Å, 2θ = 71.8°, I = 14
d = 1.105 Å, 2θ = 88.5°, I = 12

Atomic structure:
Unit cell a=4.1579 b=4.1579 c=15.4367 alpha=90.00 beta=90.00 gamma=90.00
Fractional coordinates of all 14 atoms:
Ba  0.2500  0.2500  0.0952
Ba  0.2500  0.2500  0.3389
Ba  0.7500  0.7500  0.6611
Ba  0.7500  0.7500  0.9048
Ir  0.2500  0.2500  0.7952
Ir  0.7500  0.7500  0.2048
Br  0.2500  0.2500  0.5746
Br  0.7500  0.7500  0.4254
O  0.2500  0.2500  0.9261
O  0.2500  0.7500  0.2267
O  0.2500  0.7500  0.7733
O  0.7500  0.2500  0.2267
O  0.7500  0.2500  0.7733
O  0.7500  0.7500  0.0739